Starting from DFT lattice parameters and positions (PBE), the powder X-ray diffraction pattern of CsSrI3 was computed for Cu Kα (weighted mean of Kα1 and Kα2).
Intensities are scaled so that the largest is 100.

Most intense lines, 10° ≤ 2θ ≤ 90°, sorted by position:
- 3.856 Å, I = 53
- 3.781 Å, I = 61
- 3.732 Å, I = 83
- 3.641 Å, I = 81
- 3.268 Å, I = 99
- 3.156 Å, I = 100

```
data_CsSrI3
_chemical_formula_sum 'Cs2 Sr2 I6'
_symmetry_space_group_name_H-M 'P 1'
_symmetry_Int_Tables_number 1
_symmetry_space_group_name_Hall 'P 1'
_cell_length_a 8.7710
_cell_length_b 9.0799
_cell_length_c 9.0843
_cell_angle_alpha 92.06
_cell_angle_beta 118.70
_cell_angle_gamma 118.83
loop_
_atom_site_label
_atom_site_type_symbol
_atom_site_fract_x
_atom_site_fract_y
_atom_site_fract_z
_atom_site_occupancy
Cs1 Cs 0.0000 0.0000 0.0000 1
Cs2 Cs 0.0617 0.5439 0.5440 1
Sr1 Sr 0.5316 0.2727 0.7729 1
Sr2 Sr 0.5315 0.7726 0.2728 1
I1 I 0.0270 0.0965 0.5817 1
I2 I 0.0361 0.4486 0.9640 1
I3 I 0.3950 0.9774 0.4361 1
I4 I 0.5129 0.9866 0.9867 1
I5 I 0.5496 0.5584 0.5586 1
I6 I 0.6685 0.5684 0.1094 1
```